No. 1
# TlMoRu4
Theoretical XRD peak list, Cu Kα (weighted mean of Kα1 and Kα2). Input: a cell relaxed with PBE.

Structure:
```
data_TlMoRu4
_symmetry_space_group_name_H-M 'F -4 3 m'
_symmetry_Int_Tables_number 216
_symmetry_space_group_name_Hall 'F -4 2 3'
_cell_length_a 7.275
_cell_length_b 7.275
_cell_length_c 7.275
_cell_angle_alpha 90.00
_cell_angle_beta 90.00
_cell_angle_gamma 90.00
loop_
_atom_site_label
_atom_site_fract_x
_atom_site_fract_y
_atom_site_fract_z
Tl1 0.000 0.000 0.000
Mo1 0.250 0.250 0.750
Ru1 0.125 0.125 0.375
```

Peak list (10 most intense, 10 to 90 degrees two-theta, sorted by position)
2θ (°), d [Å], I_rel, (hkl)
24.5, 3.638, 5, 2 0 0
34.9, 2.572, 39, 2 2 0
41.2, 2.194, 100, 3 1 1
43.1, 2.100, 29, 2 2 2
62.5, 1.485, 14, 4 2 2
66.8, 1.400, 31, 5 1 1
73.7, 1.286, 25, 4 4 0
84.2, 1.150, 6, 6 2 0
88.0, 1.109, 12, 5 3 3
89.3, 1.097, 11, 6 2 2

---

No. 2
# Te4AsAu3
Theoretical XRD peak list, Cu Kα (weighted mean of Kα1 and Kα2). Input: a cell relaxed with PBE.

Structure:
```
data_Te4AsAu3
_symmetry_space_group_name_H-M 'P m n 21'
_symmetry_Int_Tables_number 31
_symmetry_space_group_name_Hall 'P 2ac -2'
_cell_length_a 8.862
_cell_length_b 7.702
_cell_length_c 7.398
_cell_angle_alpha 90.00
_cell_angle_beta 90.00
_cell_angle_gamma 90.00
loop_
_atom_site_label
_atom_site_fract_x
_atom_site_fract_y
_atom_site_fract_z
Te1 0.000 0.162 0.000
Te2 0.000 0.820 0.484
Te3 0.249 0.660 0.980
As1 0.000 0.837 0.859
Au1 0.000 0.158 0.379
Au2 0.242 0.322 0.848
```

Peak list (10 most intense, 10 to 90 degrees two-theta, sorted by position)
2θ (°), d [Å], I_rel, (hkl)
23.1, 3.844, 100, 0 2 0
24.1, 3.699, 59, 0 0 2
26.1, 3.411, 76, 2 1 1
33.6, 2.666, 37, 0 2 2
40.6, 2.221, 60, 2 3 0
40.7, 2.215, 31, 4 0 0
43.6, 2.076, 95, 2 1 3
47.8, 1.903, 55, 4 0 2
61.2, 1.515, 22, 4 2 3
76.0, 1.253, 23, 4 4 3

---

No. 3
# Li4OF2
Theoretical XRD peak list, Cu Kα (weighted mean of Kα1 and Kα2). Input: a cell relaxed with PBE.

Structure:
```
data_Li4OF2
_symmetry_space_group_name_H-M 'I 4/m m m'
_symmetry_Int_Tables_number 139
_symmetry_space_group_name_Hall '-I 4 2'
_cell_length_a 3.671
_cell_length_b 3.671
_cell_length_c 10.714
_cell_angle_alpha 90.00
_cell_angle_beta 90.00
_cell_angle_gamma 90.00
loop_
_atom_site_label
_atom_site_fract_x
_atom_site_fract_y
_atom_site_fract_z
Li1 0.000 0.000 0.175
Li2 0.000 0.500 0.000
O1 0.000 0.000 0.000
F1 0.000 0.000 0.345
```

Peak list (10 most intense, 10 to 90 degrees two-theta, sorted by position)
2θ (°), d [Å], I_rel, (hkl)
34.6, 2.596, 81, 1 1 0
35.1, 2.560, 100, 1 0 3
38.5, 2.336, 7, 1 1 2
48.9, 1.864, 12, 1 1 4
49.7, 1.836, 45, 2 0 0
51.2, 1.786, 18, 0 0 6
62.2, 1.492, 21, 2 1 3
63.2, 1.471, 15, 1 1 6
72.9, 1.298, 11, 2 2 0
74.1, 1.280, 18, 2 0 6

---

No. 4
# In12SnPb3
Theoretical XRD peak list, Cu Kα (weighted mean of Kα1 and Kα2). Input: a cell relaxed with PBE.

Structure:
```
data_In12SnPb3
_symmetry_space_group_name_H-M 'P 4/m m m'
_symmetry_Int_Tables_number 123
_symmetry_space_group_name_Hall '-P 4 2'
_cell_length_a 5.085
_cell_length_b 5.085
_cell_length_c 17.372
_cell_angle_alpha 90.00
_cell_angle_beta 90.00
_cell_angle_gamma 90.00
loop_
_atom_site_label
_atom_site_fract_x
_atom_site_fract_y
_atom_site_fract_z
In1 0.000 0.000 0.000
In2 0.000 0.000 0.248
In3 0.000 0.000 0.500
In4 0.000 0.500 0.121
In5 0.000 0.500 0.374
Sn1 0.500 0.500 0.000
Pb1 0.500 0.500 0.248
Pb2 0.500 0.500 0.500
```

Peak list (10 most intense, 10 to 90 degrees two-theta, sorted by position)
2θ (°), d [Å], I_rel, (hkl)
32.3, 2.770, 100, 1 1 4
35.3, 2.542, 40, 2 0 0
41.6, 2.171, 12, 0 0 8
50.8, 1.798, 14, 2 2 0
55.7, 1.651, 21, 2 0 8
61.5, 1.508, 31, 3 1 4
67.7, 1.385, 12, 2 2 8
70.1, 1.343, 11, 1 1 12
83.7, 1.155, 7, 3 3 4
85.4, 1.137, 6, 4 2 0

---

No. 5
# CdSi2Ag
Theoretical XRD peak list, Cu Kα (weighted mean of Kα1 and Kα2). Input: a cell relaxed with PBE.

Structure:
```
data_CdSi2Ag
_symmetry_space_group_name_H-M 'P 1 2/m 1'
_symmetry_Int_Tables_number 10
_symmetry_space_group_name_Hall '-P 2y'
_cell_length_a 3.059
_cell_length_b 5.071
_cell_length_c 4.839
_cell_angle_alpha 90.00
_cell_angle_beta 91.35
_cell_angle_gamma 90.00
loop_
_atom_site_label
_atom_site_fract_x
_atom_site_fract_y
_atom_site_fract_z
Cd1 0.000 0.000 0.000
Si1 0.245 0.500 0.295
Ag1 0.500 0.000 0.500
```

Peak list (10 most intense, 10 to 90 degrees two-theta, sorted by position)
2θ (°), d [Å], I_rel, (hkl)
17.5, 5.071, 100, 0 1 0
34.3, 2.613, 54, 1 0 -1
35.1, 2.558, 19, 1 0 1
35.4, 2.536, 51, 0 2 0
37.2, 2.419, 18, 0 0 2
38.8, 2.323, 29, 1 1 -1
39.5, 2.284, 74, 1 1 1
41.4, 2.183, 61, 0 1 2
50.1, 1.820, 36, 1 2 -1
67.6, 1.386, 26, 0 3 2

---

No. 6
# AgHg3As2Cl3
Theoretical XRD peak list, Cu Kα (weighted mean of Kα1 and Kα2). Input: a cell relaxed with PBE.

Structure:
```
data_AgHg3As2Cl3
_symmetry_space_group_name_H-M 'C 1 2/c 1'
_symmetry_Int_Tables_number 15
_symmetry_space_group_name_Hall '-C 2yc'
_cell_length_a 25.105
_cell_length_b 9.368
_cell_length_c 15.162
_cell_angle_alpha 90.00
_cell_angle_beta 123.81
_cell_angle_gamma 90.00
loop_
_atom_site_label
_atom_site_fract_x
_atom_site_fract_y
_atom_site_fract_z
Ag1 0.000 0.154 0.250
Ag2 0.169 0.275 0.778
Hg1 0.000 0.000 0.000
Hg2 0.000 0.299 0.750
Hg3 0.000 0.500 0.000
Hg4 0.164 0.002 0.498
Hg5 0.168 0.500 0.000
Hg6 0.169 0.215 0.249
As1 0.067 0.364 0.948
As2 0.101 0.144 0.052
As3 0.231 0.142 0.446
Cl1 0.062 0.240 0.437
Cl2 0.076 0.076 0.749
Cl3 0.115 0.490 0.252
Cl4 0.235 0.115 0.741
Cl5 0.250 0.250 0.000
```

Peak list (10 most intense, 10 to 90 degrees two-theta, sorted by position)
2θ (°), d [Å], I_rel, (hkl)
14.2, 6.241, 25, 3 1 -1
23.7, 3.759, 87, 0 2 2
25.5, 3.494, 29, 6 0 -4
25.6, 3.477, 31, 6 0 0
28.3, 3.150, 61, 0 0 4
28.6, 3.121, 100, 6 2 -2
40.6, 2.221, 37, 6 2 -6
40.8, 2.212, 33, 6 2 2
43.2, 2.092, 24, 12 0 -4
46.7, 1.944, 38, 6 4 0

---

No. 7
# Rb2AgBr
Theoretical XRD peak list, Cu Kα (weighted mean of Kα1 and Kα2). Input: a cell relaxed with PBE.

Structure:
```
data_Rb2AgBr
_symmetry_space_group_name_H-M 'R -3 m'
_symmetry_Int_Tables_number 166
_symmetry_space_group_name_Hall '-R 3 2"'
_cell_length_a 5.0280
_cell_length_b 5.0280
_cell_length_c 25.4039
_cell_angle_alpha 90.00
_cell_angle_beta 90.00
_cell_angle_gamma 120.00
loop_
_atom_site_label
_atom_site_fract_x
_atom_site_fract_y
_atom_site_fract_z
Rb1 0.0000 0.0000 0.2453
Ag1 0.0000 0.0000 0.0000
Br1 0.0000 0.0000 0.5000
```

Peak list (10 most intense, 10 to 90 degrees two-theta, sorted by position)
2θ (°), d [Å], I_rel, (hkl)
24.8, 3.591, 100, 1 0 4
35.0, 2.566, 40, 0 1 8
35.7, 2.514, 38, 1 1 0
42.7, 2.117, 7, 0 0 12
44.0, 2.060, 21, 0 2 4
50.8, 1.796, 13, 2 0 8
56.9, 1.619, 18, 1 1 12
57.9, 1.593, 18, 2 1 4
63.7, 1.461, 13, 1 2 8
81.0, 1.186, 7, 1 3 4

---

No. 8
# Pu3MgSn5
Theoretical XRD peak list, Cu Kα (weighted mean of Kα1 and Kα2). Input: a cell relaxed with PBE.

Structure:
```
data_Pu3MgSn5
_symmetry_space_group_name_H-M 'P 63/m c m'
_symmetry_Int_Tables_number 193
_symmetry_space_group_name_Hall '-P 6c 2'
_cell_length_a 9.2233
_cell_length_b 9.2233
_cell_length_c 6.3052
_cell_angle_alpha 90.00
_cell_angle_beta 90.00
_cell_angle_gamma 120.00
loop_
_atom_site_label
_atom_site_fract_x
_atom_site_fract_y
_atom_site_fract_z
Pu1 0.0000 0.3773 0.2500
Mg1 0.0000 0.0000 0.0000
Sn1 0.0000 0.2843 0.7500
Sn2 0.3333 0.6667 0.0000
```

Peak list (10 most intense, 10 to 90 degrees two-theta, sorted by position)
2θ (°), d [Å], I_rel, (hkl)
23.9, 3.722, 29, 1 1 1
28.3, 3.153, 28, 0 0 2
32.9, 2.723, 60, 2 1 1
33.7, 2.663, 100, 3 0 0
34.5, 2.603, 92, 1 1 2
43.3, 2.090, 30, 3 1 1
44.5, 2.034, 24, 3 0 2
48.9, 1.861, 24, 2 2 2
60.7, 1.525, 31, 4 1 2
69.3, 1.356, 26, 3 0 4

---

No. 9
# CeNd3C8
Theoretical XRD peak list, Cu Kα (weighted mean of Kα1 and Kα2). Input: a cell relaxed with PBE.

Structure:
```
data_CeNd3C8
_symmetry_space_group_name_H-M 'P 4/m m m'
_symmetry_Int_Tables_number 123
_symmetry_space_group_name_Hall '-P 4 2'
_cell_length_a 3.829
_cell_length_b 3.829
_cell_length_c 12.885
_cell_angle_alpha 90.00
_cell_angle_beta 90.00
_cell_angle_gamma 90.00
loop_
_atom_site_label
_atom_site_fract_x
_atom_site_fract_y
_atom_site_fract_z
Ce1 0.000 0.000 0.000
Nd1 0.000 0.000 0.500
Nd2 0.500 0.500 0.248
C1 0.000 0.000 0.198
C2 0.000 0.000 0.299
C3 0.500 0.500 0.051
C4 0.500 0.500 0.450
```

Peak list (10 most intense, 10 to 90 degrees two-theta, sorted by position)
2θ (°), d [Å], I_rel, (hkl)
27.1, 3.292, 100, 1 0 2
27.7, 3.221, 35, 0 0 4
33.1, 2.708, 53, 1 1 0
43.7, 2.073, 40, 1 1 4
47.5, 1.915, 18, 2 0 0
48.6, 1.873, 29, 1 0 6
55.5, 1.655, 30, 2 1 2
55.9, 1.646, 19, 2 0 4
70.3, 1.339, 19, 2 1 6
85.7, 1.133, 11, 3 1 4

---

No. 10
# BaLiMg14
Theoretical XRD peak list, Cu Kα (weighted mean of Kα1 and Kα2). Input: a cell relaxed with PBE.

Structure:
```
data_BaLiMg14
_symmetry_space_group_name_H-M 'A m m 2'
_symmetry_Int_Tables_number 38
_symmetry_space_group_name_Hall 'A 2 -2'
_cell_length_a 10.588
_cell_length_b 6.347
_cell_length_c 11.948
_cell_angle_alpha 90.00
_cell_angle_beta 90.00
_cell_angle_gamma 90.00
loop_
_atom_site_label
_atom_site_fract_x
_atom_site_fract_y
_atom_site_fract_z
Ba1 0.000 0.000 0.000
Li1 0.000 0.000 0.466
Mg1 0.000 0.250 0.245
Mg2 0.237 0.000 0.632
Mg3 0.262 0.248 0.384
Mg4 0.270 0.000 0.147
Mg5 0.500 0.000 0.478
Mg6 0.500 0.000 0.978
Mg7 0.500 0.243 0.727
```

Peak list (10 most intense, 10 to 90 degrees two-theta, sorted by position)
2θ (°), d [Å], I_rel, (hkl)
15.8, 5.605, 37, 0 1 1
17.9, 4.954, 54, 1 1 1
23.1, 3.849, 36, 2 1 1
29.9, 2.987, 30, 3 1 1
31.9, 2.803, 44, 0 2 2
33.9, 2.647, 46, 4 0 0
34.5, 2.601, 81, 2 0 4
36.3, 2.477, 100, 2 2 2
47.2, 1.924, 27, 4 2 2
62.2, 1.493, 26, 0 0 8

---

No. 11
# Ce2PrDyS5
Theoretical XRD peak list, Cu Kα (weighted mean of Kα1 and Kα2). Input: a cell relaxed with PBE.

Structure:
```
data_Ce2PrDyS5
_symmetry_space_group_name_H-M 'P 4/m m m'
_symmetry_Int_Tables_number 123
_symmetry_space_group_name_Hall '-P 4 2'
_cell_length_a 4.904
_cell_length_b 4.904
_cell_length_c 10.592
_cell_angle_alpha 90.00
_cell_angle_beta 90.00
_cell_angle_gamma 90.00
loop_
_atom_site_label
_atom_site_fract_x
_atom_site_fract_y
_atom_site_fract_z
Ce1 0.000 0.000 0.190
Pr1 0.500 0.500 0.500
Dy1 0.500 0.500 0.000
S1 0.000 0.000 0.500
S2 0.000 0.500 0.000
S3 0.500 0.500 0.249
```

Peak list (10 most intense, 10 to 90 degrees two-theta, sorted by position)
2θ (°), d [Å], I_rel, (hkl)
24.7, 3.598, 93, 1 0 2
25.7, 3.467, 100, 1 1 0
31.2, 2.865, 29, 1 0 3
36.3, 2.474, 24, 1 1 3
36.7, 2.452, 58, 2 0 0
38.6, 2.330, 18, 1 0 4
44.7, 2.026, 40, 2 1 2
50.7, 1.799, 19, 2 0 4
52.8, 1.734, 20, 2 2 0
59.6, 1.551, 19, 3 1 0

---

No. 12
# PrHo2ThSc4
Theoretical XRD peak list, Cu Kα (weighted mean of Kα1 and Kα2). Input: a cell relaxed with PBE.

Structure:
```
data_PrHo2ThSc4
_symmetry_space_group_name_H-M 'P m m m'
_symmetry_Int_Tables_number 47
_symmetry_space_group_name_Hall '-P 2 2'
_cell_length_a 5.003
_cell_length_b 5.013
_cell_length_c 9.033
_cell_angle_alpha 90.00
_cell_angle_beta 90.00
_cell_angle_gamma 90.00
loop_
_atom_site_label
_atom_site_fract_x
_atom_site_fract_y
_atom_site_fract_z
Pr1 0.000 0.000 0.000
Ho1 0.000 0.000 0.500
Ho2 0.500 0.500 0.000
Th1 0.500 0.500 0.500
Sc1 0.000 0.500 0.254
Sc2 0.500 0.000 0.255
```

Peak list (10 most intense, 10 to 90 degrees two-theta, sorted by position)
2θ (°), d [Å], I_rel, (hkl)
19.7, 4.517, 28, 0 0 2
25.1, 3.541, 31, 1 1 0
32.1, 2.787, 100, 1 1 2
35.9, 2.504, 37, 2 0 0
39.9, 2.258, 14, 0 0 4
41.2, 2.190, 18, 2 0 2
51.6, 1.771, 13, 2 2 0
54.7, 1.677, 22, 2 0 4
62.1, 1.496, 15, 1 3 2
62.2, 1.493, 15, 3 1 2